[1]
Structure and theoretical powder diffraction line list of RbLuSO (a PBE-relaxed structure; Cu Kα).

Peak list (10 most intense, 2θ = 10–80°, in order of falling intensity)
h k l  2θ (°)  d/Å  I_rel
1 2 1  27.67  3.224  100
1 2 0  22.16  4.012  68
2 0 1  27.02  3.300  57
3 2 0  37.92  2.372  51
0 0 2  33.07  2.709  50
3 2 2  51.18  1.785  42
1 1 1  21.85  4.068  37
1 2 2  40.19  2.244  36
2 0 0  21.35  4.161  30
0 4 0  39.36  2.289  23

Structure:
```
data_RbLuSO
_space_group_name_H-M_alt 'P c a 21'
_space_group_IT_number 29
_cell_length_a 8.322
_cell_length_b 9.157
_cell_length_c 5.418
_cell_angle_alpha 90.00
_cell_angle_beta 90.00
_cell_angle_gamma 90.00
loop_
_space_group_symop_operation_xyz
'x,y,z'
'-x,-y,z+1/2'
'-x+1/2,y,z+1/2'
'x+1/2,-y,z'
loop_
_atom_site_label
_atom_site_fract_x
_atom_site_fract_y
_atom_site_fract_z
Rb1 0.120 0.100 0.000
Lu1 0.071 0.637 0.003
S1 0.106 0.606 0.503
O1 0.034 0.174 0.500
```

---

[2]
Structure and theoretical powder diffraction line list of Hf2AlZn2Ga (a PBE-relaxed structure; Cu Kα).

Peak list (10 most intense, 2θ = 10–80°, in order of falling intensity)
h k l  2θ (°)  d/Å  I_rel
1 0 2  37.18  2.418  100
1 1 0  41.80  2.161  57
1 0 0  23.77  3.743  37
2 0 2  57.17  1.611  29
2 1 2  73.28  1.292  27
1 1 4  74.24  1.277  20
3 0 0  76.33  1.248  9
0 0 4  58.25  1.584  7
2 0 0  48.65  1.871  6
1 0 4  63.81  1.459  5

Structure:
```
data_Hf2AlZn2Ga
_space_group_name_H-M_alt 'P -6 m 2'
_space_group_IT_number 187
_space_group_name_Hall 'P -6 2'
_cell_length_a 4.3219
_cell_length_b 4.3219
_cell_length_c 6.3357
_cell_angle_alpha 90.00
_cell_angle_beta 90.00
_cell_angle_gamma 120.00
loop_
_atom_site_label
_atom_site_fract_x
_atom_site_fract_y
_atom_site_fract_z
Hf1 0.0000 0.0000 0.2487
Al1 0.3333 0.6667 0.0000
Zn1 0.3333 0.6667 0.5000
Zn2 0.6667 0.3333 0.0000
Ga1 0.6667 0.3333 0.5000
```

---

[3]
Structure and theoretical powder diffraction line list of LaHoGa2I2 (a PBE-relaxed structure; Cu Kα).

Peak list (10 most intense, 2θ = 10–80°, in order of falling intensity)
h k l  2θ (°)  d/Å  I_rel
1 0 3  32.48  2.757  100
1 1 0  42.27  2.138  49
1 0 2  28.07  3.178  47
1 0 1  25.10  3.548  38
1 1 6  62.56  1.485  30
0 2 3  54.30  1.690  23
2 1 3  71.12  1.326  20
0 1 5  43.98  2.059  19
0 0 6  43.86  2.064  11
0 0 2  14.30  6.193  11

Structure:
```
data_LaHoGa2I2
_space_group_name_H-M_alt 'P 3 m 1'
_space_group_IT_number 156
_cell_length_a 4.2763
_cell_length_b 4.2763
_cell_length_c 12.3861
_cell_angle_alpha 90.00
_cell_angle_beta 90.00
_cell_angle_gamma 120.00
loop_
_space_group_symop_operation_xyz
'x,y,z'
'-y,x-y,z'
'-x+y,-x,z'
'-y,-x,z'
'-x+y,y,z'
'x,x-y,z'
loop_
_atom_site_label
_atom_site_fract_x
_atom_site_fract_y
_atom_site_fract_z
La1 0.0000 0.0000 0.0000
Ho1 0.0000 0.0000 0.3347
Ga1 0.3333 0.6667 0.2016
Ga2 0.6667 0.3333 0.1481
I1 0.3333 0.6667 0.8259
I2 0.6667 0.3333 0.4919
```

---

[4]
Structure and theoretical powder diffraction line list of Au4BrF3 (a PBE-relaxed structure; Cu Kα).

Peak list (10 most intense, 2θ = 10–80°, in order of falling intensity)
h k l  2θ (°)  d/Å  I_rel
0 0 2  19.34  4.590  100
0 2 1  32.32  2.770  89
2 0 1  32.70  2.738  79
2 2 2  48.83  1.865  63
2 0 3  43.23  2.093  35
0 2 3  42.93  2.107  26
2 2 0  44.38  2.041  25
0 0 3  29.21  3.057  18
2 2 4  60.72  1.525  18
4 2 1  74.49  1.274  17

Structure:
```
data_Au4BrF3
_space_group_name_H-M_alt 'C m m 2'
_space_group_IT_number 35
_cell_length_a 5.738
_cell_length_b 5.811
_cell_length_c 9.180
_cell_angle_alpha 90.00
_cell_angle_beta 90.00
_cell_angle_gamma 90.00
loop_
_space_group_symop_operation_xyz
'x,y,z'
'-x,-y,z'
'-x,y,z'
'x,-y,z'
'x+1/2,y+1/2,z'
'-x+1/2,-y+1/2,z'
'-x+1/2,y+1/2,z'
'x+1/2,-y+1/2,z'
loop_
_atom_site_label
_atom_site_fract_x
_atom_site_fract_y
_atom_site_fract_z
Au1 0.000 0.248 0.000
Au2 0.248 0.500 0.553
Br1 0.000 0.000 0.337
F1 0.000 0.000 0.829
F2 0.000 0.500 0.168
F3 0.000 0.500 0.732
```

---

[5]
Structure and theoretical powder diffraction line list of BaCdH2Cl2O2 (a PBE-relaxed structure; Cu Kα).

Peak list (10 most intense, 2θ = 10–80°, in order of falling intensity)
h k l  2θ (°)  d/Å  I_rel
1 0 1  26.85  3.321  100
0 1 3  36.94  2.433  80
0 0 2  17.54  5.057  55
1 1 0  44.64  2.030  39
1 1 2  48.32  1.884  24
1 0 0  25.33  3.516  22
1 0 2  30.98  2.887  19
2 0 3  59.29  1.559  19
1 2 3  77.16  1.236  17
1 1 4  58.30  1.583  17

Structure:
```
data_BaCdH2Cl2O2
_space_group_name_H-M_alt 'P 3 m 1'
_space_group_IT_number 156
_cell_length_a 4.0594
_cell_length_b 4.0594
_cell_length_c 10.1134
_cell_angle_alpha 90.00
_cell_angle_beta 90.00
_cell_angle_gamma 120.00
loop_
_space_group_symop_operation_xyz
'x,y,z'
'-y,x-y,z'
'-x+y,-x,z'
'-y,-x,z'
'-x+y,y,z'
'x,x-y,z'
loop_
_atom_site_label
_atom_site_fract_x
_atom_site_fract_y
_atom_site_fract_z
Ba1 0.0000 0.0000 0.0000
Cd1 0.3333 0.6667 0.4948
H1 0.6667 0.3333 0.1949
H2 0.6667 0.3333 0.6484
Cl1 0.0000 0.0000 0.3355
Cl2 0.3333 0.6667 0.7921
O1 0.6667 0.3333 0.0982
O2 0.6667 0.3333 0.5516
```

---

[6]
Structure and theoretical powder diffraction line list of Gd2HoHg5 (a PBE-relaxed structure; Cu Kα).

Peak list (10 most intense, 2θ = 10–80°, in order of falling intensity)
h k l  2θ (°)  d/Å  I_rel
1 2 2  34.34  2.611  100
2 0 0  35.11  2.556  21
2 4 0  61.50  1.508  17
3 2 2  62.51  1.486  15
2 0 4  49.92  1.827  13
2 4 4  72.38  1.306  8
0 4 0  48.80  1.866  7
0 4 4  61.01  1.519  6
1 1 3  33.36  2.686  4
1 0 4  38.71  2.326  3

Structure:
```
data_Gd2HoHg5
_space_group_name_H-M_alt 'A m m 2'
_space_group_IT_number 38
_cell_length_a 5.111
_cell_length_b 7.465
_cell_length_c 10.450
_cell_angle_alpha 90.00
_cell_angle_beta 90.00
_cell_angle_gamma 90.00
loop_
_space_group_symop_operation_xyz
'x,y,z'
'-x,-y,z'
'-x,y,z'
'x,-y,z'
'x,y+1/2,z+1/2'
'-x,-y+1/2,z+1/2'
'-x,y+1/2,z+1/2'
'x,-y+1/2,z+1/2'
loop_
_atom_site_label
_atom_site_fract_x
_atom_site_fract_y
_atom_site_fract_z
Gd1 0.000 0.000 0.000
Gd2 0.500 0.000 0.303
Ho1 0.500 0.000 0.742
Hg1 0.000 0.000 0.501
Hg2 0.000 0.249 0.747
Hg3 0.500 0.222 0.026
```

---

[7]
Structure and theoretical powder diffraction line list of BaPrGe2Ir (a PBE-relaxed structure; Cu Kα).

Peak list (10 most intense, 2θ = 10–80°, in order of falling intensity)
h k l  2θ (°)  d/Å  I_rel
3 1 -1  30.98  2.886  100
3 1 -3  33.77  2.654  94
3 1 1  37.93  2.372  77
2 0 -4  31.14  2.872  65
0 2 0  40.89  2.207  61
1 1 -2  25.44  3.502  54
0 0 4  35.75  2.512  45
7 1 -3  59.70  1.549  38
2 0 -1  15.27  5.801  35
2 0 2  30.57  2.924  27

Structure:
```
data_BaPrGe2Ir
_space_group_name_H-M_alt 'C 1 2/m 1'
_space_group_IT_number 12
_cell_length_a 11.604
_cell_length_b 4.414
_cell_length_c 11.507
_cell_angle_alpha 90.00
_cell_angle_beta 119.18
_cell_angle_gamma 90.00
loop_
_space_group_symop_operation_xyz
'x,y,z'
'-x,-y,-z'
'-x,y,-z'
'x,-y,z'
'x+1/2,y+1/2,z'
'-x+1/2,-y+1/2,-z'
'-x+1/2,y+1/2,-z'
'x+1/2,-y+1/2,z'
loop_
_atom_site_label
_atom_site_fract_x
_atom_site_fract_y
_atom_site_fract_z
Ba1 0.177 0.000 0.101
Pr1 0.000 0.000 0.345
Ge1 0.008 0.500 0.172
Ge2 0.162 0.500 0.573
Ir1 0.224 0.500 0.391
```

---

[8]
Structure and theoretical powder diffraction line list of RbHfAgSe2S (a PBE-relaxed structure; Cu Kα).

Peak list (10 most intense, 2θ = 10–80°, in order of falling intensity)
h k l  2θ (°)  d/Å  I_rel
1 0 -1  11.56  7.657  100
2 1 -1  30.54  2.927  48
2 1 0  31.60  2.831  33
1 1 -3  34.97  2.566  24
2 1 -4  43.31  2.089  18
0 2 0  45.61  1.989  18
1 1 1  28.17  3.168  17
3 1 -5  53.48  1.714  15
2 0 -2  23.23  3.828  13
2 1 1  35.40  2.536  13

Structure:
```
data_RbHfAgSe2S
_space_group_name_H-M_alt 'P 1 21/m 1'
_space_group_IT_number 11
_cell_length_a 8.667
_cell_length_b 3.978
_cell_length_c 10.077
_cell_angle_alpha 90.00
_cell_angle_beta 111.51
_cell_angle_gamma 90.00
loop_
_space_group_symop_operation_xyz
'x,y,z'
'-x,-y,-z'
'-x,y+1/2,-z'
'x,-y+1/2,z'
loop_
_atom_site_label
_atom_site_fract_x
_atom_site_fract_y
_atom_site_fract_z
Rb1 0.246 0.250 0.206
Hf1 0.189 0.750 0.663
Ag1 0.424 0.250 0.895
Se1 0.039 0.750 0.367
Se2 0.386 0.250 0.626
S1 0.245 0.750 0.924
```